Entry 1:
Simulated powder diffraction line list
Compound: SrSmScO4
Radiation: a wavelength of 1.5418 Å
Structure: a PBE-relaxed structure

Most intense lines, 2θ from 10° to 90°, sorted by position:
d [Å]	Rel. int.
3.878	28.2
3.074	11.8
2.936	32.7
2.894	100.0
2.846	35.0
2.123	14.0
2.088	14.2
2.043	35.1
1.687	24.6
1.652	19.7

Unit cell a=5.692 b=12.296 c=5.872 alpha=90.00 beta=90.00 gamma=90.00
Space group Cmc2_1 (No. 36)
Asymmetric unit:
Sr: 0.000 0.105 0.000
Sm: 0.000 0.395 0.980
Sc: 0.000 0.246 0.484
O: 0.000 0.084 0.417
O: 0.000 0.432 0.593
O: 0.240 0.279 0.224


Entry 2:
Simulated powder diffraction line list
Compound: Sm2ScTaO7
Radiation: a wavelength of 1.5418 Å
Structure: a PBE-relaxed structure

Most intense lines, 2θ from 10° to 90°, sorted by position:
d [Å]	Rel. int.
6.129	18.2
3.065	99.2
3.031	100.0
2.639	66.2
1.882	16.8
1.866	62.5
1.852	14.7
1.599	30.8
1.585	28.2
1.180	19.1

Unit cell a=7.407 b=7.529 c=10.552 alpha=90.00 beta=90.00 gamma=90.00
Space group Imma (No. 74)
Asymmetric unit:
Sm: 0.000 0.000 0.000
Sm: 0.250 0.250 0.250
Sc: 0.250 0.250 0.750
Ta: 0.000 0.000 0.500
O: 0.000 0.250 0.128
O: 0.000 0.250 0.434
O: 0.000 0.250 0.846
O: 0.199 0.032 0.625


Entry 3:
Simulated powder diffraction line list
Compound: SmScUO6
Radiation: a wavelength of 1.5418 Å
Structure: a PBE-relaxed structure

Most intense lines, 2θ from 10° to 90°, sorted by position:
d [Å]	Rel. int.
4.336	51.2
3.438	100.0
2.794	48.6
2.702	15.9
2.168	27.7
1.839	44.9
1.713	27.3
1.613	17.1
1.294	11.1
1.213	11.2

Unit cell a=5.5875 b=5.5875 c=9.7716 alpha=90.00 beta=90.00 gamma=120.00
Space group P-31c (No. 163)
Asymmetric unit:
Sm: 0.0000 0.0000 0.0000
Sc: 0.3333 0.6667 0.2500
U: 0.3333 0.6667 0.7500
O: 0.0047 0.3557 0.6386


Entry 4:
Simulated powder diffraction line list
Compound: Tb2Sc4Sn3O2
Radiation: a wavelength of 1.5418 Å
Structure: a PBE-relaxed structure

Most intense lines, 2θ from 10° to 90°, sorted by position:
d [Å]	Rel. int.
3.869	19.3
3.111	57.6
3.047	21.8
3.014	42.4
2.730	40.7
2.470	100.0
2.200	61.8
1.713	20.3
1.555	20.4
1.316	27.9

Unit cell a=4.399 b=4.399 c=24.376 alpha=90.00 beta=90.00 gamma=90.00
Space group I4/mmm (No. 139)
Asymmetric unit:
Tb: 0.000 0.000 0.193
Sc: 0.000 0.500 0.082
Sn: 0.000 0.000 0.326
Sn: 0.000 0.000 0.500
O: 0.000 0.000 0.092


Entry 5:
Simulated powder diffraction line list
Compound: Sr2ScUO6
Radiation: a wavelength of 1.5418 Å
Structure: a PBE-relaxed structure

Most intense lines, 2θ from 10° to 90°, sorted by position:
d [Å]	Rel. int.
4.852	31.1
4.811	30.0
2.980	24.5
2.957	100.0
2.943	23.9
2.520	18.3
2.094	27.2
1.716	18.7
1.704	17.4
1.701	17.4

Unit cell a=5.886 b=5.959 c=10.209 alpha=90.00 beta=125.08 gamma=90.00
Space group P2_1/c (No. 14)
Asymmetric unit:
Sr: 0.241 0.036 0.249
Sc: 0.000 0.000 0.500
U: 0.500 0.000 0.000
O: 0.167 0.212 0.957
O: 0.243 0.710 0.956
O: 0.331 0.024 0.749